# Na3Co5O10
Computed powder X-ray diffraction pattern, Cu Kα (λ = 1.5418 Å). Input: a DFT-relaxed cell (GGA+U, the Materials Project).
Neutral-atom scattering factors, no anomalous dispersion.

Cell lengths 4.946, 7.786, 11.281 Å; angles 87.56, 82.40, 71.50 degrees
Space group P1 (No. 1)
Unique sites:
Na 0.000 0.000 0.000 x1
Na 0.094 0.789 0.505 x1
Na 0.299 0.396 0.498 x1
Na 0.486 0.002 0.504 x1
Na 0.606 0.790 0.000 x1
Na 0.794 0.395 0.997 x1
Co 0.080 0.000 0.747 x1
Co 0.182 0.800 0.246 x1
Co 0.282 0.592 0.751 x1
Co 0.379 0.396 0.233 x1
Co 0.478 0.199 0.751 x1
Co 0.587 0.990 0.246 x1
Co 0.684 0.791 0.747 x1
Co 0.778 0.594 0.258 x1
Co 0.891 0.395 0.741 x1
Co 0.977 0.198 0.259 x1
O 0.005 0.584 0.654 x1
O 0.070 0.395 0.154 x1
O 0.088 0.614 0.338 x1
O 0.191 0.395 0.833 x1
O 0.193 0.207 0.654 x1
O 0.290 0.980 0.156 x1
O 0.305 0.178 0.338 x1
O 0.368 0.796 0.662 x1
O 0.370 0.012 0.841 x1
O 0.470 0.812 0.341 x1
O 0.471 0.614 0.154 x1
O 0.571 0.395 0.663 x1
O 0.597 0.591 0.833 x1
O 0.664 0.397 0.341 x1
O 0.691 0.178 0.154 x1
O 0.768 0.996 0.662 x1
O 0.793 0.200 0.833 x1
O 0.874 0.809 0.156 x1
O 0.886 0.978 0.341 x1
O 0.986 0.779 0.841 x1

The 8 most intense peaks (2θ = 10–90°), in order of rising 2θ:
| d [Å] | I (rel.) | (hkl) |
| --- | --- | --- |
| 5.591 | 100 | 0 0 2 |
| 2.796 | 13 | 0 0 4 |
| 2.505 | 14 | 1 -2 1 |
| 2.432 | 24 | 1 3 -1 |
| 2.363 | 11 | 2 1 2 |
| 2.030 | 34 | 1 3 -3 |
| 1.977 | 16 | 2 1 4 |
| 1.439 | 11 | 3 4 1 |

=====

# Na2CoO3
Computed powder X-ray diffraction pattern, Cu Kα (λ = 1.5418 Å). Input: a DFT-relaxed cell (GGA+U, the Materials Project).
Neutral-atom scattering factors, no anomalous dispersion.

Cell lengths 5.418, 6.394, 8.522 Å; angles 79.85, 85.23, 73.02 degrees
Space group P-1 (No. 2)
Unique sites:
Na 0.247 0.250 0.250 x2
Na 0.248 0.749 0.250 x2
Na 0.251 0.916 0.569 x2
Na 0.252 0.585 0.930 x2
Co 0.230 0.417 0.605 x2
Co 0.273 0.084 0.893 x2
O 0.024 0.307 0.491 x2
O 0.057 0.372 0.830 x2
O 0.071 0.944 0.839 x2
O 0.433 0.557 0.658 x2
O 0.447 0.128 0.669 x2
O 0.476 0.193 0.009 x2

The 8 most intense peaks (2θ = 10–90°), in order of rising 2θ:
| d [Å] | I (rel.) | (hkl) |
| --- | --- | --- |
| 5.317 | 95 | 0 1 1 |
| 4.341 | 41 | 1 0 -1 |
| 2.680 | 30 | 1 2 -1 |
| 2.590 | 31 | 2 0 0 |
| 2.426 | 100 | 1 0 -3 |
| 2.190 | 76 | 1 -2 1 |
| 2.172 | 65 | 2 2 2 |
| 1.647 | 41 | -2 2 2 |

=====

# Na2CoO3
Computed powder X-ray diffraction pattern, Cu Kα (λ = 1.5418 Å). Input: a DFT-relaxed cell (GGA+U, the Materials Project).
Neutral-atom scattering factors, no anomalous dispersion.

Cell lengths 6.094, 11.166, 5.111 Å; angles 90.00, 91.01, 90.00 degrees
Space group Cm (No. 8)
Unique sites:
Na 0.000 0.159 0.000 x4
Na 0.145 0.333 0.507 x4
Co 0.009 0.500 0.982 x2
Co 0.167 0.000 0.471 x2
O 0.023 0.134 0.534 x4
O 0.110 0.357 0.028 x4
O 0.221 0.000 0.117 x2
O 0.444 0.000 0.616 x2

The 8 most intense peaks (2θ = 10–90°), in order of rising 2θ:
| d [Å] | I (rel.) | (hkl) |
| --- | --- | --- |
| 5.583 | 99 | 0 2 0 |
| 3.724 | 54 | 1 1 -1 |
| 3.667 | 60 | 1 1 1 |
| 3.176 | 96 | 1 3 0 |
| 3.047 | 67 | 2 0 0 |
| 2.709 | 51 | 1 3 -1 |
| 2.555 | 100 | 0 0 2 |
| 1.783 | 57 | 3 3 0 |

=====

# NaCo3O6
Computed powder X-ray diffraction pattern, Cu Kα (λ = 1.5418 Å). Input: a DFT-relaxed cell (GGA+U, the Materials Project).
Neutral-atom scattering factors, no anomalous dispersion.

Cell lengths 4.794, 5.271, 5.362 Å; angles 63.93, 68.42, 64.67 degrees
Space group P1 (No. 1)
Unique sites:
Na 0.000 0.000 0.000 x1
Co 0.291 0.299 0.125 x1
Co 0.587 0.513 0.453 x1
Co 0.688 0.767 0.811 x1
O 0.233 0.403 0.451 x1
O 0.380 0.619 0.801 x1
O 0.438 0.906 0.190 x1
O 0.751 0.113 0.658 x1
O 0.846 0.419 0.118 x1
O 0.918 0.628 0.463 x1

The 8 most intense peaks (2θ = 10–90°), in order of rising 2θ:
| d [Å] | I (rel.) | (hkl) |
| --- | --- | --- |
| 4.488 | 54 | 0 1 0 |
| 4.225 | 46 | 1 0 0 |
| 2.844 | 48 | 1 0 -1 |
| 2.808 | 91 | 0 1 -1 |
| 2.680 | 60 | 1 -1 0 |
| 2.611 | 43 | 1 2 1 |
| 2.445 | 72 | 0 1 2 |
| 2.388 | 100 | 2 1 1 |

=====

# Na5Co2O5
Computed powder X-ray diffraction pattern, Cu Kα (λ = 1.5418 Å). Input: a DFT-relaxed cell (GGA+U, the Materials Project).
Neutral-atom scattering factors, no anomalous dispersion.

Cell lengths 15.033, 8.171, 11.500 Å; angles 90.00, 104.72, 90.00 degrees
Space group C2/c (No. 15)
Unique sites:
Na 0.012 0.109 0.123 x8
Na 0.106 0.172 0.788 x8
Na 0.107 0.405 0.310 x8
Na 0.164 0.335 0.040 x8
Na 0.198 0.095 0.517 x8
Co 0.050 0.366 0.557 x8
Co 0.235 0.121 0.268 x8
O 0.003 0.181 0.910 x8
O 0.021 0.419 0.108 x8
O 0.125 0.111 0.307 x8
O 0.175 0.368 0.571 x8
O 0.223 0.371 0.866 x8

The 8 most intense peaks (2θ = 10–90°), in order of rising 2θ:
| d [Å] | I (rel.) | (hkl) |
| --- | --- | --- |
| 5.084 | 46 | 2 0 -2 |
| 4.675 | 45 | 1 1 -2 |
| 3.522 | 43 | 2 2 -1 |
| 2.744 | 45 | 2 2 -3 |
| 2.530 | 100 | 4 2 1 |
| 2.461 | 68 | 6 0 -2 |
| 2.402 | 66 | 2 0 4 |
| 2.043 | 47 | 0 4 0 |

=====

# NaCo8O16
Computed powder X-ray diffraction pattern, Cu Kα (λ = 1.5418 Å). Input: a DFT-relaxed cell (GGA+U, the Materials Project).
Neutral-atom scattering factors, no anomalous dispersion.

Cell lengths 6.711, 7.177, 12.220 Å; angles 78.08, 86.96, 77.05 degrees
Space group P-1 (No. 2)
Unique sites:
Na 0.117 0.148 0.091 x2
Co 0.000 0.500 0.500 x1
Co 0.150 0.130 0.704 x2
Co 0.203 0.323 0.360 x2
Co 0.215 0.646 0.184 x2
Co 0.292 0.733 0.633 x2
Co 0.373 0.281 0.864 x2
Co 0.390 0.904 0.319 x2
Co 0.440 0.749 0.878 x2
Co 0.500 0.500 0.500 x1
O 0.016 0.787 0.682 x2
O 0.061 0.016 0.298 x2
O 0.062 0.623 0.325 x2
O 0.063 0.523 0.109 x2
O 0.134 0.488 0.869 x2
O 0.152 0.099 0.878 x2
O 0.196 0.899 0.930 x2
O 0.232 0.579 0.538 x2
O 0.255 0.129 0.502 x2
O 0.311 0.941 0.478 x2
O 0.347 0.854 0.171 x2
O 0.348 0.266 0.711 x2
O 0.381 0.893 0.721 x2
O 0.404 0.220 0.020 x2
O 0.444 0.407 0.380 x2
O 0.480 0.499 0.145 x2

The 8 most intense peaks (2θ = 10–90°), in order of rising 2θ:
| d [Å] | I (rel.) | (hkl) |
| --- | --- | --- |
| 6.539 | 44 | 1 0 0 |
| 4.115 | 67 | 0 1 -2 |
| 3.180 | 100 | 0 1 -3 |
| 2.977 | 50 | 2 1 2 |
| 2.745 | 57 | 0 2 -2 |
| 2.604 | 41 | 2 2 2 |
| 2.555 | 46 | -2 1 2 |
| 2.515 | 45 | 0 2 4 |

=====

# Na4Co7O14
Computed powder X-ray diffraction pattern, Cu Kα (λ = 1.5418 Å). Input: a DFT-relaxed cell (GGA+U, the Materials Project).
Neutral-atom scattering factors, no anomalous dispersion.

Cell lengths 7.5025, 7.5025, 11.1355 Å; angles 90.00, 90.00, 120.00 degrees
Space group P6_3/m (No. 176)
Unique sites:
Na 0.0000 0.0000 0.2500 x2
Na 0.0424 0.4525 0.2500 x6
Co 0.0000 0.0000 0.0000 x2
Co 0.1434 0.7150 0.0016 x12
O 0.0455 0.2384 0.0889 x12
O 0.0963 0.4769 0.5840 x12
O 0.3333 0.6667 0.0939 x4

The 8 most intense peaks (2θ = 10–90°), in order of rising 2θ:
| d [Å] | I (rel.) | (hkl) |
| --- | --- | --- |
| 5.568 | 100 | 0 0 2 |
| 2.784 | 13 | 0 0 4 |
| 2.456 | 18 | 2 1 0 |
| 2.247 | 41 | 2 1 2 |
| 2.048 | 12 | 2 1 3 |
| 1.842 | 35 | 2 1 4 |
| 1.481 | 19 | 2 1 6 |
| 1.418 | 13 | 1 4 0 |

=====

# Na6CoO4
Computed powder X-ray diffraction pattern, Cu Kα (λ = 1.5418 Å). Input: a DFT-relaxed cell (GGA+U, the Materials Project).
Neutral-atom scattering factors, no anomalous dispersion.

Cell lengths 7.479, 7.479, 5.475 Å; angles 90.00, 90.00, 90.00 degrees
Space group P4_2/nmc (No. 137, origin choice 2)
Unique sites:
Na 0.037 0.537 0.250 x8
Na 0.250 0.250 0.161 x4
Co 0.250 0.750 0.750 x2
O 0.005 0.750 0.570 x8

The 8 most intense peaks (2θ = 10–90°), in order of rising 2θ:
| d [Å] | I (rel.) | (hkl) |
| --- | --- | --- |
| 4.418 | 82 | 1 0 1 |
| 3.088 | 42 | 2 0 1 |
| 2.854 | 81 | 2 1 1 |
| 2.738 | 37 | 0 0 2 |
| 2.644 | 52 | 2 2 0 |
| 2.269 | 84 | 3 0 1 |
| 1.902 | 100 | 2 2 2 |
| 1.870 | 62 | 4 0 0 |